Diffraction record for Mn2CoS5. The powder X-ray diffraction pattern is simulated, not measured: it uses a structure optimized by DFT (GGA-PBE) and copper Kα.

Cell and atoms:
abc: 8.3086 6.3870 6.0991
angles: 83.40 49.78 46.82
Fractional coordinates of all 8 atoms:
Mn 0.1898 0.1898 0.8102
Mn 0.8102 0.8102 0.1898
Co 0.5000 0.5000 0.5000
S 0.0000 0.0000 0.0000
S 0.2245 0.4674 0.5326
S 0.4674 0.2245 0.7755
S 0.5326 0.7755 0.2245
S 0.7755 0.5326 0.4674

Principal peaks in the range 2θ from 10° to 90°, in order of rising 2θ:
2θ (°)	I_rel
15.49	100
38.90	37
42.72	17
43.63	11
45.14	10
45.71	13
48.00	6
50.73	18
62.71	7
63.89	6